Structure and calculated powder XRD pattern of ZnInCl3 (the PBE geometry in Alexandria; copper Kα).
Kinematic intensities with the Lorentz-polarization factor, no thermal factor.

Most intense lines, 2θ = 10–90°, sorted by position:
2θ (°)	I/Imax	index
11.52	56	0 0 1
18.93	65	1 1 0
19.54	80	1 1 1
21.28	59	0 1 -1
23.16	71	0 0 2
26.67	54	1 -1 1
26.92	100	0 2 1
27.38	68	-1 1 2
28.46	60	2 0 0
37.32	35	2 0 2

Structure:
```
data_ZnInCl3
_cell_length_a 6.315
_cell_length_b 6.680
_cell_length_c 8.207
_cell_angle_alpha 69.42
_cell_angle_beta 88.58
_cell_angle_gamma 83.42
_symmetry_space_group_name_H-M 'P 1'
_symmetry_Int_Tables_number 1
_symmetry_space_group_name_Hall 'P 1'
loop_
_atom_site_label
_atom_site_type_symbol
_atom_site_fract_x
_atom_site_fract_y
_atom_site_fract_z
Zn1 Zn 0.000 0.000 0.000
Zn2 Zn 0.493 0.133 0.700
In1 In 0.036 0.726 0.598
In2 In 0.545 0.488 0.104
Cl1 Cl 0.024 0.655 0.014
Cl2 Cl 0.336 0.401 0.471
Cl3 Cl 0.341 0.119 0.968
Cl4 Cl 0.511 0.803 0.682
Cl5 Cl 0.836 0.221 0.734
Cl6 Cl 0.853 0.061 0.233
```